Entry 1:
For Tb6DyTm6, a crystal structure in Alexandria, relaxed with PBE gives the calculated X-ray diffraction stick pattern in this record (Cu Ka).
Peak positions follow from Bragg's law for the DFT cell and can differ from measured ones.

Structure:
a = 6.6141 Å, b = 6.6141 Å, c = 11.2346 Å
α = 90.00°, β = 90.00°, γ = 120.00°
Space group P6/mmm (No. 191)
One atom of each set of equivalent atoms:
1 Tb 0.0000 0.0000 0.1566
2 Tb 0.3333 0.6667 0.0000
3 Tb 0.3333 0.6667 0.5000
4 Dy 0.0000 0.0000 0.5000
5 Tm 0.0000 0.5000 0.2567

Largest 10 diffraction maxima, sorted by position, 2θ = 5–70°:
(1 1 0), 2θ = 27.0°, rel. 36; (1 0 3), 2θ = 28.5°, rel. 28; (2 0 0), 2θ = 31.2°, rel. 57; (1 1 2), 2θ = 31.4°, rel. 83; (0 0 4), 2θ = 31.9°, rel. 32; (2 0 2), 2θ = 35.2°, rel. 100; (1 0 4), 2θ = 35.6°, rel. 29; (2 2 0), 2θ = 55.6°, rel. 37; (1 1 6), 2θ = 56.5°, rel. 31; (2 2 4), 2θ = 65.5°, rel. 25

=====

Entry 2:
For Tb6Dy2Tm3, a crystal structure in Alexandria, relaxed with PBE gives the calculated X-ray diffraction stick pattern in this record (Cu Ka).
Peak positions follow from Bragg's law for the DFT cell and can differ from measured ones.

Structure:
a = 3.5329 Å, b = 3.5329 Å, c = 94.8000 Å
α = 90.00°, β = 90.00°, γ = 120.00°
Space group R-3m (No. 166, hexagonal axes)
One atom of each set of equivalent atoms:
1 Tb 0.0000 0.0000 0.0903
2 Tb 0.0000 0.0000 0.1820
3 Tb 0.0000 0.0000 0.3634
4 Dy 0.0000 0.0000 0.4541
5 Tm 0.0000 0.0000 0.0000
6 Tm 0.0000 0.0000 0.2732

Largest 9 diffraction maxima, sorted by position, 2θ = 5–70°:
(0 1 11), 2θ = 31.0°, rel. 100; (0 0 33), 2θ = 31.1°, rel. 33; (1 0 22), 2θ = 36.0°, rel. 67; (1 1 0), 2θ = 51.8°, rel. 24; (0 1 44), 2θ = 51.9°, rel. 24; (2 0 11), 2θ = 61.6°, rel. 43; (1 0 55), 2θ = 61.8°, rel. 14; (0 2 22), 2θ = 64.7°, rel. 12; (0 0 66), 2θ = 64.9°, rel. 4

=====

Entry 3:
For Tb5Dy2Tm, a crystal structure in Alexandria, relaxed with PBE gives the calculated X-ray diffraction stick pattern in this record (Cu Ka).
Peak positions follow from Bragg's law for the DFT cell and can differ from measured ones.

Structure:
a = 7.084 Å, b = 14.171 Å, c = 4.998 Å
α = 90.00°, β = 90.00°, γ = 90.00°
Space group Pbam (No. 55)
One atom of each set of equivalent atoms:
1 Tb 0.000 0.000 0.000
2 Tb 0.000 0.250 0.000
3 Tb 0.250 0.125 0.500
4 Dy 0.250 0.375 0.500
5 Tm 0.000 0.500 0.000

Largest 6 diffraction maxima, sorted by position, 2θ = 5–70°:
(2 0 1), 2θ = 30.9°, rel. 100; (2 4 0), 2θ = 35.9°, rel. 51; (4 0 0), 2θ = 51.6°, rel. 36; (4 4 1), 2θ = 61.4°, rel. 29; (2 0 3), 2θ = 61.5°, rel. 14; (4 0 2), 2θ = 64.5°, rel. 12

=====

Entry 4:
For Tb3Dy3Tm2, a crystal structure in Alexandria, relaxed with PBE gives the calculated X-ray diffraction stick pattern in this record (Cu Ka).
Peak positions follow from Bragg's law for the DFT cell and can differ from measured ones.

Structure:
a = 4.992 Å, b = 4.992 Å, c = 19.941 Å
α = 90.00°, β = 90.00°, γ = 90.00°
Space group Immm (No. 71)
One atom of each set of equivalent atoms:
1 Tb 0.000 0.000 0.000
2 Tb 0.000 0.500 0.374
3 Dy 0.000 0.000 0.500
4 Dy 0.000 0.500 0.126
5 Tm 0.000 0.000 0.250

Largest 5 diffraction maxima, sorted by position, 2θ = 5–70°:
(1 1 4), 2θ = 31.0°, rel. 100; (2 0 0), 2θ = 36.0°, rel. 51; (2 2 0), 2θ = 51.8°, rel. 36; (3 1 4), 2θ = 61.6°, rel. 43; (2 2 8), 2θ = 64.7°, rel. 12

=====

Entry 5:
For Tb12Dy5Tm2, a crystal structure in Alexandria, relaxed with PBE gives the calculated X-ray diffraction stick pattern in this record (Cu Ka).
Peak positions follow from Bragg's law for the DFT cell and can differ from measured ones.

Structure:
a = 6.318 Å, b = 9.005 Å, c = 11.601 Å
α = 69.16°, β = 88.25°, γ = 80.74°
Space group P-1 (No. 2)
One atom of each set of equivalent atoms:
1 Tb 0.036 0.199 0.140
2 Tb 0.153 0.526 0.186
3 Tb 0.211 0.185 0.768
4 Tb 0.281 0.830 0.347
5 Tb 0.427 0.556 0.625
6 Tb 0.458 0.821 0.763
7 Dy 0.000 0.500 0.500
8 Dy 0.211 0.133 0.477
9 Dy 0.286 0.903 0.040
10 Tm 0.339 0.431 0.931

Largest 10 diffraction maxima, sorted by position, 2θ = 5–70°:
(1 0 3), 2θ = 28.9°, rel. 45; (0 3 2), 2θ = 30.6°, rel. 25; (0 1 4), 2θ = 30.9°, rel. 33; (-1 2 3), 2θ = 31.3°, rel. 61; (0 2 -2), 2θ = 31.5°, rel. 20; (0 3 0), 2θ = 32.3°, rel. 100; (1 1 -3), 2θ = 32.5°, rel. 67; (1 1 4), 2θ = 33.8°, rel. 38; (1 3 3), 2θ = 34.2°, rel. 19; (2 -1 1), 2θ = 34.5°, rel. 45

=====

Entry 6:
For Tb4Dy2Tm, a crystal structure in Alexandria, relaxed with PBE gives the calculated X-ray diffraction stick pattern in this record (Cu Ka).
Peak positions follow from Bragg's law for the DFT cell and can differ from measured ones.

Structure:
a = 3.5667 Å, b = 3.5667 Å, c = 19.9564 Å
α = 90.00°, β = 90.00°, γ = 120.00°
Space group P3m1 (No. 156)
One atom of each set of equivalent atoms:
1 Tb 0.0000 0.0000 0.0000
2 Tb 0.0000 0.0000 0.2821
3 Tb 0.6667 0.3333 0.4273
4 Tb 0.6667 0.3333 0.7135
5 Dy 0.3333 0.6667 0.5707
6 Dy 0.3333 0.6667 0.8566
7 Tm 0.3333 0.6667 0.1406

Largest 10 diffraction maxima, sorted by position, 2θ = 5–70°:
(1 0 1), 2θ = 29.3°, rel. 37; (0 0 7), 2θ = 31.4°, rel. 50; (1 0 3), 2θ = 31.9°, rel. 100; (0 1 4), 2θ = 34.1°, rel. 87; (1 1 0), 2θ = 51.2°, rel. 39; (1 0 10), 2θ = 54.8°, rel. 21; (0 1 11), 2θ = 59.1°, rel. 19; (1 1 7), 2θ = 61.3°, rel. 45; (0 2 3), 2θ = 61.7°, rel. 15; (2 0 4), 2θ = 63.0°, rel. 15

=====

Entry 7:
For Tb11Dy4Tm9, a crystal structure in Alexandria, relaxed with PBE gives the calculated X-ray diffraction stick pattern in this record (Cu Ka).
Peak positions follow from Bragg's law for the DFT cell and can differ from measured ones.

Structure:
a = 16.547 Å, b = 24.993 Å, c = 3.626 Å
α = 90.00°, β = 90.00°, γ = 90.00°
Space group Cmmm (No. 65)
One atom of each set of equivalent atoms:
1 Tb 0.000 0.000 0.000
2 Tb 0.000 0.160 0.000
3 Tb 0.000 0.367 0.000
4 Tb 0.209 0.500 0.000
5 Tb 0.226 0.181 0.000
6 Dy 0.155 0.399 0.500
7 Tm 0.000 0.500 0.500
8 Tm 0.102 0.266 0.500
9 Tm 0.141 0.073 0.500

Largest 10 diffraction maxima, sorted by position, 2θ = 5–70°:
(5 3 0), 2θ = 29.0°, rel. 12; (4 6 0), 2θ = 30.5°, rel. 100; (1 5 1), 2θ = 30.9°, rel. 11; (3 3 1), 2θ = 31.4°, rel. 25; (0 6 1), 2θ = 32.7°, rel. 91; (4 0 1), 2θ = 32.8°, rel. 72; (6 2 0), 2θ = 33.3°, rel. 14; (3 5 1), 2θ = 34.6°, rel. 12; (0 0 2), 2θ = 50.3°, rel. 19; (4 6 2), 2θ = 60.0°, rel. 25

=====

Entry 8:
For Tb4Dy6Tm, a crystal structure in Alexandria, relaxed with PBE gives the calculated X-ray diffraction stick pattern in this record (Cu Ka).
Peak positions follow from Bragg's law for the DFT cell and can differ from measured ones.

Structure:
a = 7.489 Å, b = 7.489 Å, c = 13.215 Å
α = 90.00°, β = 90.00°, γ = 90.00°
Space group I-42m (No. 121)
One atom of each set of equivalent atoms:
1 Tb 0.169 0.169 0.422
2 Dy 0.000 0.500 0.000
3 Dy 0.233 0.233 0.186
4 Tm 0.000 0.000 0.000

Largest 10 diffraction maxima, sorted by position, 2θ = 5–70°:
(0 0 2), 2θ = 13.4°, rel. 22; (2 0 2), 2θ = 27.4°, rel. 100; (1 1 4), 2θ = 31.9°, rel. 86; (2 1 3), 2θ = 33.6°, rel. 30; (2 2 0), 2θ = 33.9°, rel. 50; (2 0 4), 2θ = 36.3°, rel. 21; (3 0 1), 2θ = 36.6°, rel. 28; (3 1 2), 2θ = 40.5°, rel. 21; (4 2 2), 2θ = 56.7°, rel. 30; (2 0 8), 2θ = 61.3°, rel. 20

=====

Entry 9:
For Tb5Dy5Tm2, a crystal structure in Alexandria, relaxed with PBE gives the calculated X-ray diffraction stick pattern in this record (Cu Ka).
Peak positions follow from Bragg's law for the DFT cell and can differ from measured ones.

Structure:
a = 14.982 Å, b = 5.000 Å, c = 11.165 Å
α = 90.00°, β = 116.56°, γ = 90.00°
Space group C2/m (No. 12)
One atom of each set of equivalent atoms:
1 Tb 0.000 0.000 0.000
2 Tb 0.083 0.000 0.750
3 Tb 0.167 0.000 0.500
4 Dy 0.000 0.500 0.500
5 Dy 0.167 0.500 0.000
6 Dy 0.249 0.000 0.249
7 Tm 0.084 0.500 0.250

Largest 5 diffraction maxima, sorted by position, 2θ = 5–70°:
(3 1 1), 2θ = 31.0°, rel. 100; (0 2 0), 2θ = 36.0°, rel. 51; (6 0 2), 2θ = 51.8°, rel. 36; (3 3 1), 2θ = 61.6°, rel. 43; (6 2 2), 2θ = 64.6°, rel. 12

=====

Entry 10:
For TbDy4Tm2, a crystal structure in Alexandria, relaxed with PBE gives the calculated X-ray diffraction stick pattern in this record (Cu Ka).
Peak positions follow from Bragg's law for the DFT cell and can differ from measured ones.

Structure:
a = 3.5531 Å, b = 3.5531 Å, c = 19.8404 Å
α = 90.00°, β = 90.00°, γ = 120.00°
Space group P3m1 (No. 156)
One atom of each set of equivalent atoms:
1 Tb 0.0000 0.0000 0.0000
2 Dy 0.3333 0.6667 0.2896
3 Dy 0.3333 0.6667 0.5724
4 Dy 0.6667 0.3333 0.1448
5 Dy 0.6667 0.3333 0.8564
6 Tm 0.0000 0.0000 0.4315
7 Tm 0.0000 0.0000 0.7147

Largest 10 diffraction maxima, sorted by position, 2θ = 5–70°:
(1 0 1), 2θ = 29.4°, rel. 38; (0 0 7), 2θ = 31.6°, rel. 50; (1 0 3), 2θ = 32.1°, rel. 100; (0 1 4), 2θ = 34.3°, rel. 87; (0 1 6), 2θ = 40.0°, rel. 16; (1 1 0), 2θ = 51.4°, rel. 38; (1 0 10), 2θ = 55.1°, rel. 21; (0 1 11), 2θ = 59.4°, rel. 19; (1 1 7), 2θ = 61.6°, rel. 44; (0 2 3), 2θ = 61.9°, rel. 15

=====

Entry 11:
For Tb9Dy2Tm3, a crystal structure in Alexandria, relaxed with PBE gives the calculated X-ray diffraction stick pattern in this record (Cu Ka).
Peak positions follow from Bragg's law for the DFT cell and can differ from measured ones.

Structure:
a = 6.416 Å, b = 8.400 Å, c = 8.766 Å
α = 87.58°, β = 82.34°, γ = 70.82°
Space group P1 (No. 1)
One atom of each set of equivalent atoms:
1 Tb 0.000 0.000 0.000
2 Tb 0.026 0.556 0.050
3 Tb 0.144 0.207 0.278
4 Tb 0.276 0.989 0.611
5 Tb 0.394 0.642 0.806
6 Tb 0.428 0.203 0.869
7 Tb 0.583 0.406 0.134
8 Tb 0.702 0.050 0.385
9 Tb 0.852 0.794 0.713
10 Dy 0.184 0.761 0.332
11 Dy 0.328 0.411 0.527
12 Tm 0.550 0.849 0.086
13 Tm 0.727 0.618 0.420
14 Tm 0.877 0.352 0.735

Largest 10 diffraction maxima, sorted by position, 2θ = 5–70°:
(0 2 2), 2θ = 30.5°, rel. 32; (2 2 1), 2θ = 31.4°, rel. 31; (1 2 -2), 2θ = 31.8°, rel. 100; (1 0 3), 2θ = 32.6°, rel. 42; (2 0 -1), 2θ = 32.7°, rel. 47; (0 1 3), 2θ = 32.9°, rel. 15; (1 3 1), 2θ = 33.3°, rel. 16; (3 0 2), 2θ = 47.5°, rel. 11; (3 2 -3), 2θ = 57.8°, rel. 17; (4 2 0), 2θ = 58.1°, rel. 11

=====

Entry 12:
For Tb4Dy19Tm6, a crystal structure in Alexandria, relaxed with PBE gives the calculated X-ray diffraction stick pattern in this record (Cu Ka).
Peak positions follow from Bragg's law for the DFT cell and can differ from measured ones.

Structure:
a = 12.384 Å, b = 12.384 Å, c = 12.384 Å
α = 90.00°, β = 90.00°, γ = 90.00°
Space group I23 (No. 197)
One atom of each set of equivalent atoms:
1 Tb 0.179 0.179 0.821
2 Dy 0.000 0.000 0.000
3 Dy 0.000 0.000 0.263
4 Dy 0.063 0.264 0.277
5 Tm 0.000 0.373 0.500

Largest 10 diffraction maxima, sorted by position, 2θ = 5–70°:
(3 1 2), 2θ = 26.9°, rel. 48; (4 0 0), 2θ = 28.8°, rel. 58; (4 1 1), 2θ = 30.6°, rel. 100; (3 3 2), 2θ = 34.0°, rel. 17; (4 2 2), 2θ = 35.5°, rel. 43; (4 1 3), 2θ = 37.0°, rel. 74; (4 3 3), 2θ = 42.6°, rel. 22; (6 3 3), 2θ = 54.4°, rel. 26; (7 1 4), 2θ = 60.8°, rel. 29; (8 0 2), 2θ = 61.8°, rel. 21